Simulated powder diffractogram
Compound: Na2TbIO6
Radiation: Cu Kα (weighted mean of Kα1 and Kα2)
Structure: a structure optimized by DFT (GGA-PBE)

Cell and atoms:
```
data_Na2TbIO6
_symmetry_space_group_name_H-M 'P 1 21/c 1'
_symmetry_Int_Tables_number 14
_cell_length_a 5.6562
_cell_length_b 5.7566
_cell_length_c 9.8432
_cell_angle_alpha 90.00
_cell_angle_beta 124.96
_cell_angle_gamma 90.00
loop_
_symmetry_equiv_pos_as_xyz
'x,y,z'
'-x,-y,-z'
'-x,y+1/2,-z+1/2'
'x,-y+1/2,z+1/2'
loop_
_atom_site_label
_atom_site_type_symbol
_atom_site_fract_x
_atom_site_fract_y
_atom_site_fract_z
_atom_site_occupancy
Na1 Na 0.2436 0.0345 0.2513 1
Tb1 Tb 0.5000 0.0000 0.0000 1
I1 I 0.0000 0.0000 0.5000 1
O1 O 0.1314 0.2298 0.9508 1
O2 O 0.2280 0.6869 0.9577 1
O3 O 0.3143 0.0283 0.7266 1
```

Peak list (12 most intense, 5 to 70 degrees two-theta, low angle first)
(1 1 -1), d 4.034, 22.03°, rel. 100; (0 2 0), d 2.878, 31.07°, rel. 19; (1 1 -3), d 2.852, 31.36°, rel. 73; (2 0 -2), d 2.828, 31.64°, rel. 17; (2 0 0), d 2.316, 38.89°, rel. 7; (0 0 4), d 2.017, 44.94°, rel. 32; (1 3 -1), d 1.817, 50.21°, rel. 8; (2 2 -4), d 1.804, 50.60°, rel. 28; (1 3 -3), d 1.657, 55.46°, rel. 15; (0 2 4), d 1.652, 55.65°, rel. 9; (3 1 -1), d 1.639, 56.11°, rel. 11; (3 1 -5), d 1.636, 56.22°, rel. 9



Simulated powder diffractogram
Compound: NaTbI2O8
Radiation: Cu Kα (weighted mean of Kα1 and Kα2)
Structure: a structure optimized by DFT (GGA-PBE)

Cell and atoms:
```
data_NaTbI2O8
_symmetry_space_group_name_H-M 'I -4'
_symmetry_Int_Tables_number 82
_cell_length_a 5.3381
_cell_length_b 5.3381
_cell_length_c 11.8476
_cell_angle_alpha 90.00
_cell_angle_beta 90.00
_cell_angle_gamma 90.00
loop_
_symmetry_equiv_pos_as_xyz
'x,y,z'
'y,-x,-z'
'-x,-y,z'
'-y,x,-z'
'x+1/2,y+1/2,z+1/2'
'y+1/2,-x+1/2,-z+1/2'
'-x+1/2,-y+1/2,z+1/2'
'-y+1/2,x+1/2,-z+1/2'
loop_
_atom_site_label
_atom_site_type_symbol
_atom_site_fract_x
_atom_site_fract_y
_atom_site_fract_z
_atom_site_occupancy
Na1 Na 0.0000 0.0000 0.0000 1
Tb1 Tb 0.0000 0.5000 0.2500 1
I1 I 0.0000 0.0000 0.5000 1
I2 I 0.0000 0.5000 0.7500 1
O1 O 0.1632 0.2435 0.4189 1
O2 O 0.1847 0.7660 0.8286 1
```

Peak list (12 most intense, 5 to 70 degrees two-theta, low angle first)
(0 0 2), d 5.924, 14.96°, rel. 10; (1 0 1), d 4.867, 18.23°, rel. 19; (1 1 0), d 3.775, 23.57°, rel. 6; (1 1 2), d 3.183, 28.04°, rel. 100; (0 0 4), d 2.962, 30.17°, rel. 14; (2 0 0), d 2.669, 33.58°, rel. 17; (1 1 4), d 2.330, 38.64°, rel. 6; (2 0 4), d 1.983, 45.76°, rel. 29; (2 2 0), d 1.887, 48.22°, rel. 14; (1 1 6), d 1.750, 52.29°, rel. 16; (1 3 2), d 1.623, 56.70°, rel. 26; (2 2 4), d 1.592, 57.94°, rel. 11



Simulated powder diffractogram
Compound: Na2TcIO6
Radiation: Cu Kα (weighted mean of Kα1 and Kα2)
Structure: a structure optimized by DFT (GGA-PBE)

Cell and atoms:
```
data_Na2TcIO6
_symmetry_space_group_name_H-M 'P 4 m m'
_symmetry_Int_Tables_number 99
_cell_length_a 5.5780
_cell_length_b 5.5780
_cell_length_c 4.7180
_cell_angle_alpha 90.00
_cell_angle_beta 90.00
_cell_angle_gamma 90.00
loop_
_symmetry_equiv_pos_as_xyz
'x,y,z'
'-y,x,z'
'-x,-y,z'
'y,-x,z'
'-x,y,z'
'y,x,z'
'x,-y,z'
'-y,-x,z'
loop_
_atom_site_label
_atom_site_type_symbol
_atom_site_fract_x
_atom_site_fract_y
_atom_site_fract_z
_atom_site_occupancy
Na1 Na 0.0000 0.5000 0.0000 1
Tc1 Tc 0.0000 0.0000 0.5659 1
I1 I 0.5000 0.5000 0.6130 1
O1 O 0.0000 0.0000 0.1907 1
O2 O 0.2397 0.2397 0.6813 1
O3 O 0.5000 0.5000 0.2236 1
```

Peak list (12 most intense, 5 to 70 degrees two-theta, low angle first)
(0 0 1), d 4.718, 18.81°, rel. 63; (1 1 0), d 3.944, 22.54°, rel. 76; (1 1 1), d 3.026, 29.52°, rel. 100; (2 0 0), d 2.789, 32.09°, rel. 39; (0 0 2), d 2.359, 38.15°, rel. 15; (1 1 2), d 2.025, 44.77°, rel. 24; (2 2 0), d 1.972, 46.02°, rel. 32; (2 2 1), d 1.820, 50.13°, rel. 17; (2 0 2), d 1.801, 50.68°, rel. 18; (3 1 0), d 1.764, 51.83°, rel. 14; (3 1 1), d 1.652, 55.63°, rel. 33; (2 2 2), d 1.513, 61.26°, rel. 16